Record 1
Starting from a crystal structure in Alexandria, relaxed with PBE, the powder X-ray diffraction pattern of AlNiPt6 was simulated for copper Kα.
Kinematic intensities with the Lorentz-polarization factor, no thermal factor.

Largest 8 diffraction maxima, in order of falling intensity, 10° ≤ 2θ ≤ 80°:
2θ (°)  Rel. int.
39.36  1000
40.58  940
45.53  665
68.60  395
48.37  285
79.18  250
28.32  200
15.36  158

Atomic structure:
```
AlNiPt6
1.0
0.0000 3.7633 5.7673
2.7558 0.0000 5.7673
2.7558 3.7633 0.0000
Al Ni Pt
1 1 6
Direct
0.0000 0.0000 0.0000 Al
0.5000 0.5000 0.5000 Ni
0.1180 0.1180 0.3820 Pt
0.2537 0.2537 0.7463 Pt
0.3820 0.3820 0.1180 Pt
0.6180 0.6180 0.8820 Pt
0.7463 0.7463 0.2537 Pt
0.8820 0.8820 0.6180 Pt
```

Record 2
Starting from a crystal structure in Alexandria, relaxed with PBE, the powder X-ray diffraction pattern of Tb3SbS3 was simulated for copper Kα.
Kinematic intensities with the Lorentz-polarization factor, no thermal factor.

Largest 8 diffraction maxima, in order of falling intensity, 10° ≤ 2θ ≤ 80°:
2θ (°)  Rel. int.
25.62  1000
33.52  487
39.38  377
43.90  223
24.57  196
48.54  182
13.53  164
34.83  140

Atomic structure:
```
Tb3SbS3
1.0
3.9629 2.2880 7.2450
-3.9629 2.2880 7.2450
0.0000 -4.5760 7.2450
Tb Sb S
6 2 6
Direct
0.0218 0.4193 0.7817 Tb
0.2183 0.9782 0.5807 Tb
0.4193 0.7817 0.0218 Tb
0.5807 0.2183 0.9782 Tb
0.7817 0.0218 0.4193 Tb
0.9782 0.5807 0.2183 Tb
0.1665 0.1665 0.1665 Sb
0.8335 0.8335 0.8335 Sb
0.1142 0.6718 0.3689 S
0.3282 0.6311 0.8858 S
0.3689 0.1142 0.6718 S
0.6311 0.8858 0.3282 S
0.6718 0.3689 0.1142 S
0.8858 0.3282 0.6311 S
```

Record 3
Starting from a crystal structure in Alexandria, relaxed with PBE, the powder X-ray diffraction pattern of LaErZn2In2 was simulated for copper Kα.
Kinematic intensities with the Lorentz-polarization factor, no thermal factor.

Largest 8 diffraction maxima, in order of falling intensity, 10° ≤ 2θ ≤ 80°:
2θ (°)  Rel. int.
32.25  1000
38.21  639
50.84  275
65.34  255
62.97  206
69.07  108
48.04  79
21.79  74

Atomic structure:
```
LaErZn2In2
1.0
4.7107 0.0000 0.0000
-2.3553 4.0796 0.0000
0.0000 0.0000 7.5761
La Er Zn In
1 1 2 2
Direct
0.0000 0.0000 0.0000 La
0.0000 0.0000 0.5000 Er
0.3333 0.6667 0.2930 Zn
0.6667 0.3333 0.7070 Zn
0.3333 0.6667 0.7299 In
0.6667 0.3333 0.2701 In
```

Repeat the second record exactly.
Starting from a crystal structure in Alexandria, relaxed with PBE, the powder X-ray diffraction pattern of Tb3SbS3 was simulated for copper Kα.
Kinematic intensities with the Lorentz-polarization factor, no thermal factor.

Largest 8 diffraction maxima, in order of falling intensity, 10° ≤ 2θ ≤ 80°:
2θ (°)  Rel. int.
25.62  1000
33.52  487
39.38  377
43.90  223
24.57  196
48.54  182
13.53  164
34.83  140

Atomic structure:
```
Tb3SbS3
1.0
3.9629 2.2880 7.2450
-3.9629 2.2880 7.2450
0.0000 -4.5760 7.2450
Tb Sb S
6 2 6
Direct
0.0218 0.4193 0.7817 Tb
0.2183 0.9782 0.5807 Tb
0.4193 0.7817 0.0218 Tb
0.5807 0.2183 0.9782 Tb
0.7817 0.0218 0.4193 Tb
0.9782 0.5807 0.2183 Tb
0.1665 0.1665 0.1665 Sb
0.8335 0.8335 0.8335 Sb
0.1142 0.6718 0.3689 S
0.3282 0.6311 0.8858 S
0.3689 0.1142 0.6718 S
0.6311 0.8858 0.3282 S
0.6718 0.3689 0.1142 S
0.8858 0.3282 0.6311 S
```

Please write out number 2 again, unchanged.
Starting from a crystal structure in Alexandria, relaxed with PBE, the powder X-ray diffraction pattern of Tb3SbS3 was simulated for copper Kα.
Kinematic intensities with the Lorentz-polarization factor, no thermal factor.

Largest 8 diffraction maxima, in order of falling intensity, 10° ≤ 2θ ≤ 80°:
2θ (°)  Rel. int.
25.62  1000
33.52  487
39.38  377
43.90  223
24.57  196
48.54  182
13.53  164
34.83  140

Atomic structure:
```
Tb3SbS3
1.0
3.9629 2.2880 7.2450
-3.9629 2.2880 7.2450
0.0000 -4.5760 7.2450
Tb Sb S
6 2 6
Direct
0.0218 0.4193 0.7817 Tb
0.2183 0.9782 0.5807 Tb
0.4193 0.7817 0.0218 Tb
0.5807 0.2183 0.9782 Tb
0.7817 0.0218 0.4193 Tb
0.9782 0.5807 0.2183 Tb
0.1665 0.1665 0.1665 Sb
0.8335 0.8335 0.8335 Sb
0.1142 0.6718 0.3689 S
0.3282 0.6311 0.8858 S
0.3689 0.1142 0.6718 S
0.6311 0.8858 0.3282 S
0.6718 0.3689 0.1142 S
0.8858 0.3282 0.6311 S
```

> Which formula does entry 2 have?

Tb3SbS3